[1]
For UAl4Zn2, a DFT-relaxed cell (GGA-PBE, Alexandria) gives the theoretical PXRD pattern in this record (Cu Kα X-rays).
Neutral-atom scattering factors, no anomalous dispersion.

Largest 6 diffraction maxima, sorted by position, 5° ≤ 2θ ≤ 70°:
| Position (°2θ) | I/Imax | (hkl) |
| --- | --- | --- |
| 9.55 | 100 | 0 2 0 |
| 23.71 | 21 | 1 3 0 |
| 30.67 | 24 | 1 5 0 |
| 37.62 | 30 | 1 1 1 |
| 39.02 | 30 | 1 7 0 |
| 40.15 | 28 | 1 3 1 |

Structural model:
```
data_UAl4Zn2
_chemical_formula_sum 'U2 Al8 Zn4'
_cell_length_a 4.7255
_cell_length_b 18.5181
_cell_length_c 2.8040
_cell_angle_alpha 90.00
_cell_angle_beta 90.00
_cell_angle_gamma 90.00
_symmetry_space_group_name_H-M 'C m m m'
_symmetry_Int_Tables_number 65
_symmetry_space_group_name_Hall '-C 2 2'
loop_
_atom_site_label
_atom_site_type_symbol
_atom_site_fract_x
_atom_site_fract_y
_atom_site_fract_z
_atom_site_occupancy
U1 U 0.0000 0.0000 0.0000 1
Al1 Al 0.0000 0.1538 0.5000 1
Al2 Al 0.0000 0.2896 0.0000 1
Zn1 Zn 0.0000 0.4199 0.5000 1
```

***

[2]
For K2Na4Tl9, a DFT-relaxed cell (GGA-PBE, Alexandria) gives the theoretical PXRD pattern in this record (Cu Kα X-rays).
Neutral-atom scattering factors, no anomalous dispersion.

Largest 6 diffraction maxima, sorted by position, 5° ≤ 2θ ≤ 70°:
| Position (°2θ) | I/Imax | (hkl) |
| --- | --- | --- |
| 9.40 | 70 | 0 0 2 |
| 30.25 | 99 | 0 1 5 |
| 32.51 | 100 | 1 1 0 |
| 38.44 | 26 | 0 1 7 |
| 45.00 | 34 | 2 0 5 |
| 56.61 | 34 | 1 2 5 |

Structural model:
```
data_K2Na4Tl9
_chemical_formula_sum 'K2 Na4 Tl9'
_cell_length_a 5.5076
_cell_length_b 5.5076
_cell_length_c 18.8197
_cell_angle_alpha 90.00
_cell_angle_beta 90.00
_cell_angle_gamma 120.00
_symmetry_space_group_name_H-M 'P -3 m 1'
_symmetry_Int_Tables_number 164
_symmetry_space_group_name_Hall '-P 3 2"'
loop_
_atom_site_label
_atom_site_type_symbol
_atom_site_fract_x
_atom_site_fract_y
_atom_site_fract_z
_atom_site_occupancy
K1 K 0.3333 0.6667 0.2636 1
Na1 Na 0.3333 0.6667 0.6355 1
Na2 Na 0.3333 0.6667 0.8854 1
Tl1 Tl 0.0000 0.0000 0.0000 1
Tl2 Tl 0.0000 0.0000 0.1716 1
Tl3 Tl 0.0000 0.0000 0.4111 1
Tl4 Tl 0.3333 0.6667 0.0657 1
Tl5 Tl 0.3333 0.6667 0.4634 1
```